# 1
# AcCd2In3
Calculated powder diffraction line list, Cu Kα (weighted mean of Kα1 and Kα2). Input: the GGA-PBE geometry in Alexandria.
Kinematic intensities with the Lorentz-polarization factor, no thermal factor.

Crystal structure
```
AcCd2In3
1.0
4.155 -6.242 0.000
4.155 6.242 0.000
0.000 0.000 6.927
Ac Cd In
2 4 6
direct
0.141 0.859 0.750
0.859 0.141 0.250
0.317 0.317 0.000
0.317 0.317 0.500
0.683 0.683 0.000
0.683 0.683 0.500
0.024 0.334 0.750
0.334 0.024 0.250
0.354 0.646 0.250
0.646 0.354 0.750
0.666 0.976 0.750
0.976 0.666 0.250
```

The 10 most intense peaks (2θ from 10° to 80°), sorted by position:
23.92 deg, intensity 23
25.73 deg, intensity 22
28.85 deg, intensity 100
29.49 deg, intensity 27
33.69 deg, intensity 15
35.64 deg, intensity 15
38.84 deg, intensity 42
43.51 deg, intensity 15
47.34 deg, intensity 22
52.88 deg, intensity 14



# 2
# Ba3Tl2AgHg6
Calculated powder diffraction line list, Cu Kα (weighted mean of Kα1 and Kα2). Input: the GGA-PBE geometry in Alexandria.
Kinematic intensities with the Lorentz-polarization factor, no thermal factor.

Crystal structure
```
Ba3Tl2AgHg6
1.0
6.725 0.000 0.000
-3.362 5.824 0.000
0.000 0.000 9.835
Ba Tl Ag Hg
3 2 1 6
direct
0.000 0.000 0.000
0.333 0.667 0.619
0.667 0.333 0.381
0.333 0.667 0.996
0.667 0.333 0.004
0.000 0.000 0.500
0.177 0.354 0.283
0.177 0.823 0.283
0.354 0.177 0.717
0.646 0.823 0.283
0.823 0.177 0.717
0.823 0.646 0.717
```

The 10 most intense peaks (2θ from 10° to 80°), sorted by position:
17.70 deg, intensity 19
27.20 deg, intensity 30
30.70 deg, intensity 19
31.31 deg, intensity 25
32.06 deg, intensity 100
32.25 deg, intensity 75
35.84 deg, intensity 39
41.48 deg, intensity 28
50.55 deg, intensity 23
54.59 deg, intensity 35